Structure and computed powder XRD pattern of Pm6CdHg6 (a cell relaxed with PBE; copper Kα).
Peak positions follow from Bragg's law for the DFT cell and can differ from measured ones.

Largest 10 diffraction maxima, low angle first, 2θ from 5° to 70°:
index  d/Å  I_rel
0 0 2  5.381  21
2 0 0  2.746  48
1 1 2  2.732  46
0 0 4  2.691  30
2 0 2  2.446  100
1 0 4  2.416  15
2 0 4  1.922  19
2 2 0  1.585  26
1 1 6  1.561  18
2 2 4  1.366  23

Atomic structure:
```
13
Lattice="6.341 0.000 0.000 -3.171 5.492 0.000 0.000 0.000 10.762" Properties=species:S:1:pos:R:3 pbc="T T T"
Pm 0.000 0.000 1.951
Pm 0.000 0.000 8.811
Pm 0.000 3.661 0.000
Pm 0.000 3.661 5.381
Pm 3.171 1.831 0.000
Pm 3.171 1.831 5.381
Cd 0.000 0.000 5.381
Hg -1.585 2.746 2.724
Hg -1.585 2.746 8.038
Hg 3.171 0.000 2.724
Hg 3.171 0.000 8.038
Hg 1.585 2.746 2.724
Hg 1.585 2.746 8.038
```